# Pm2Pr6Y5
Theoretical PXRD pattern, Cu Kα (λ = 1.5418 Å). Input: a GGA-PBE-relaxed structure.
Lines closer than 0.1° are merged.

Cell and atoms:
```
data_Pm2Pr6Y5
_symmetry_space_group_name_H-M 'P b a m'
_symmetry_Int_Tables_number 55
_cell_length_a 11.890
_cell_length_b 20.820
_cell_length_c 3.683
_cell_angle_alpha 90.00
_cell_angle_beta 90.00
_cell_angle_gamma 90.00
loop_
_symmetry_equiv_pos_as_xyz
'x,y,z'
'-x,-y,-z'
'-x,-y,z'
'x,y,-z'
'x+1/2,-y+1/2,-z'
'-x+1/2,y+1/2,z'
'-x+1/2,y+1/2,-z'
'x+1/2,-y+1/2,z'
loop_
_atom_site_label
_atom_site_type_symbol
_atom_site_fract_x
_atom_site_fract_y
_atom_site_fract_z
_atom_site_occupancy
Pm1 Pm 0.169 0.215 0.000 1
Pr1 Pr 0.062 0.923 0.000 1
Pr2 Pr 0.079 0.635 0.000 1
Pr3 Pr 0.176 0.370 0.500 1
Y1 Y 0.000 0.500 0.500 1
Y2 Y 0.091 0.777 0.500 1
Y3 Y 0.199 0.058 0.500 1
```

Top 8 peaks for 2θ from 10° to 90°, by angle:
two_theta  Rel. int.  (hkl)
26.75  31  1 6 0
30.38  57  4 1 0
30.67  42  1 4 1
30.99  59  1 7 0
31.34  100  2 3 1
33.40  36  2 4 1
35.70  25  3 3 1
59.57  24  1 7 2